No. 1
# HoAu2
Simulated XRD peak list, copper Kα. Input: a cell relaxed with PBE.
Intensities are scaled so that the largest is 100.

Main lines, by angle (10 to 80 degrees two-theta):
2theta, d_spacing, Rel. int.
25.76, 3.458, 1
33.88, 2.646, 70
38.33, 2.349, 100
48.67, 1.871, 26
61.47, 1.508, 6
63.58, 1.463, 46
71.29, 1.323, 8
72.07, 1.310, 16

Atomic structure:
a = 5.242 Å, b = 5.242 Å, c = 5.242 Å
α = 138.18°, β = 138.18°, γ = 60.63°
Sites, in units of the cell vectors:
Ho 0.000 0.000 0.000
Au 0.336 0.336 0.000
Au 0.664 0.664 0.000

No. 2
# Ho4C7
Simulated XRD peak list, copper Kα. Input: a cell relaxed with PBE.
Intensities are scaled so that the largest is 100.

Main lines, by angle (10 to 80 degrees two-theta):
2theta, d_spacing, Rel. int.
28.19, 3.165, 27
28.60, 3.121, 34
28.70, 3.110, 30
29.45, 3.033, 19
29.78, 3.000, 100
32.18, 2.781, 36
32.62, 2.745, 25
33.67, 2.662, 39
34.59, 2.593, 46
49.88, 1.828, 21

Atomic structure:
a = 3.692 Å, b = 13.700 Å, c = 6.434 Å
α = 90.00°, β = 104.81°, γ = 90.00°
Sites, in units of the cell vectors:
Ho 0.055 0.162 0.160
Ho 0.055 0.338 0.660
Ho 0.366 0.055 0.739
Ho 0.366 0.445 0.239
Ho 0.634 0.555 0.761
Ho 0.634 0.945 0.261
Ho 0.945 0.662 0.340
Ho 0.945 0.838 0.840
C 0.000 0.000 0.000
C 0.000 0.500 0.500
C 0.267 0.604 0.051
C 0.267 0.896 0.551
C 0.378 0.697 0.047
C 0.378 0.803 0.547
C 0.467 0.215 0.923
C 0.467 0.285 0.423
C 0.533 0.715 0.577
C 0.533 0.785 0.077
C 0.622 0.197 0.453
C 0.622 0.303 0.953
C 0.733 0.104 0.449
C 0.733 0.396 0.949

No. 3
# Tb3InS6
Simulated XRD peak list, copper Kα. Input: a cell relaxed with PBE.
Intensities are scaled so that the largest is 100.

Main lines, by angle (10 to 80 degrees two-theta):
2theta, d_spacing, Rel. int.
25.14, 3.542, 100
26.20, 3.401, 49
26.47, 3.368, 28
27.05, 3.297, 59
31.11, 2.875, 36
32.34, 2.768, 25
34.57, 2.595, 43
35.52, 2.527, 43
41.16, 2.193, 31
46.86, 1.939, 29

Atomic structure:
a = 13.471 Å, b = 16.658 Å, c = 3.878 Å
α = 90.00°, β = 90.00°, γ = 90.00°
Sites, in units of the cell vectors:
Tb 0.037 0.223 0.246
Tb 0.191 0.644 0.247
Tb 0.247 0.390 0.237
Tb 0.253 0.890 0.763
Tb 0.309 0.144 0.753
Tb 0.463 0.723 0.754
Tb 0.537 0.277 0.754
Tb 0.691 0.856 0.753
Tb 0.747 0.110 0.763
Tb 0.753 0.610 0.237
Tb 0.809 0.356 0.247
Tb 0.963 0.777 0.246
In 0.000 0.000 0.895
In 0.000 0.500 0.747
In 0.500 0.000 0.253
In 0.500 0.500 0.105
S 0.021 0.394 0.246
S 0.103 0.907 0.268
S 0.108 0.115 0.748
S 0.115 0.744 0.749
S 0.179 0.283 0.741
S 0.193 0.519 0.746
S 0.307 0.019 0.254
S 0.321 0.783 0.259
S 0.385 0.244 0.251
S 0.392 0.615 0.252
S 0.397 0.407 0.732
S 0.479 0.894 0.754
S 0.521 0.106 0.754
S 0.603 0.593 0.732
S 0.608 0.385 0.252
S 0.615 0.756 0.251
S 0.679 0.217 0.259
S 0.693 0.981 0.254
S 0.807 0.481 0.746
S 0.821 0.717 0.741
S 0.885 0.256 0.749
S 0.892 0.885 0.748
S 0.897 0.093 0.268
S 0.979 0.606 0.246

No. 4
# TeS4O14
Simulated XRD peak list, copper Kα. Input: a cell relaxed with PBE.
Intensities are scaled so that the largest is 100.

Main lines, by angle (10 to 80 degrees two-theta):
2theta, d_spacing, Rel. int.
13.13, 6.744, 100
14.14, 6.262, 48
15.94, 5.560, 61
16.68, 5.315, 44
18.35, 4.835, 68
25.22, 3.531, 35
27.43, 3.252, 31
28.49, 3.133, 65
29.66, 3.012, 33
32.22, 2.778, 28

Atomic structure:
a = 6.971 Å, b = 6.986 Å, c = 12.328 Å
α = 80.04°, β = 80.19°, γ = 77.34°
Sites, in units of the cell vectors:
Te 0.000 0.000 0.000
Te 0.129 0.874 0.500
S 0.253 0.625 0.748
S 0.288 0.426 0.431
S 0.371 0.743 0.257
S 0.521 0.860 0.609
S 0.610 0.994 0.897
S 0.753 0.126 0.248
S 0.870 0.245 0.757
S 0.990 0.393 0.108
O 0.009 0.092 0.829
O 0.116 0.773 0.673
O 0.136 0.587 0.497
O 0.153 0.298 0.166
O 0.184 0.267 0.438
O 0.221 0.886 0.329
O 0.233 0.694 0.853
O 0.260 0.422 0.742
O 0.284 0.532 0.303
O 0.328 0.787 0.146
O 0.401 0.033 0.932
O 0.417 0.865 0.501
O 0.427 0.024 0.666
O 0.481 0.395 0.462
O 0.482 0.654 0.679
O 0.548 0.135 0.243
O 0.569 0.711 0.282
O 0.645 0.181 0.806
O 0.708 0.034 0.998
O 0.714 0.813 0.860
O 0.729 0.824 0.568
O 0.782 0.353 0.179
O 0.825 0.102 0.352
O 0.840 0.441 0.781
O 0.897 0.988 0.172
O 0.915 0.201 0.645
O 0.952 0.601 0.069
O 0.994 0.287 0.001

No. 5
# Ba2LaIrO6
Simulated XRD peak list, copper Kα. Input: a cell relaxed with PBE.
Intensities are scaled so that the largest is 100.

Main lines, by angle (10 to 80 degrees two-theta):
2theta, d_spacing, Rel. int.
29.14, 3.065, 100
29.32, 3.047, 99
41.81, 2.161, 55
51.66, 1.769, 21
51.77, 1.766, 41
52.10, 1.755, 20
60.41, 1.532, 17
60.81, 1.523, 17
68.55, 1.369, 18
68.83, 1.364, 18

Atomic structure:
a = 6.093 Å, b = 6.093 Å, c = 6.093 Å
α = 60.39°, β = 60.39°, γ = 60.39°
Sites, in units of the cell vectors:
Ba 0.249 0.249 0.249
Ba 0.751 0.751 0.751
La 0.500 0.500 0.500
Ir 0.000 0.000 0.000
O 0.195 0.773 0.262
O 0.227 0.738 0.805
O 0.262 0.195 0.773
O 0.738 0.805 0.227
O 0.773 0.262 0.195
O 0.805 0.227 0.738

Copy entry 5 word for word.
# Ba2LaIrO6
Simulated XRD peak list, copper Kα. Input: a cell relaxed with PBE.
Intensities are scaled so that the largest is 100.

Main lines, by angle (10 to 80 degrees two-theta):
2theta, d_spacing, Rel. int.
29.14, 3.065, 100
29.32, 3.047, 99
41.81, 2.161, 55
51.66, 1.769, 21
51.77, 1.766, 41
52.10, 1.755, 20
60.41, 1.532, 17
60.81, 1.523, 17
68.55, 1.369, 18
68.83, 1.364, 18

Atomic structure:
a = 6.093 Å, b = 6.093 Å, c = 6.093 Å
α = 60.39°, β = 60.39°, γ = 60.39°
Sites, in units of the cell vectors:
Ba 0.249 0.249 0.249
Ba 0.751 0.751 0.751
La 0.500 0.500 0.500
Ir 0.000 0.000 0.000
O 0.195 0.773 0.262
O 0.227 0.738 0.805
O 0.262 0.195 0.773
O 0.738 0.805 0.227
O 0.773 0.262 0.195
O 0.805 0.227 0.738

Copy entry 1 word for word.
# HoAu2
Simulated XRD peak list, copper Kα. Input: a cell relaxed with PBE.
Intensities are scaled so that the largest is 100.

Main lines, by angle (10 to 80 degrees two-theta):
2theta, d_spacing, Rel. int.
25.76, 3.458, 1
33.88, 2.646, 70
38.33, 2.349, 100
48.67, 1.871, 26
61.47, 1.508, 6
63.58, 1.463, 46
71.29, 1.323, 8
72.07, 1.310, 16

Atomic structure:
a = 5.242 Å, b = 5.242 Å, c = 5.242 Å
α = 138.18°, β = 138.18°, γ = 60.63°
Sites, in units of the cell vectors:
Ho 0.000 0.000 0.000
Au 0.336 0.336 0.000
Au 0.664 0.664 0.000